(1)
Li12Zn2Cu: computed PXRD pattern (CuKα), based on a structure optimized by DFT (PBE).

Cell lengths 5.4720, 5.4720, 19.8529 Å; angles 90.00, 90.00, 90.00 degrees
Sites, in units of the cell vectors:
Li1 0.0000 0.0000 0.0808
Li2 0.0000 0.0000 0.9192
Li3 0.0000 0.5000 0.0808
Li4 0.0000 0.5000 0.9192
Li5 0.0651 0.5651 0.4360
Li6 0.0651 0.9349 0.5640
Li7 0.2500 0.2500 0.1867
Li8 0.2500 0.2500 0.3167
Li9 0.2500 0.2500 0.6833
Li10 0.2500 0.2500 0.8133
Li11 0.4349 0.5651 0.5640
Li12 0.4349 0.9349 0.4360
Li13 0.5000 0.0000 0.0808
Li14 0.5000 0.0000 0.9192
Li15 0.5000 0.5000 0.0808
Li16 0.5000 0.5000 0.9192
Li17 0.5651 0.0651 0.5640
Li18 0.5651 0.4349 0.4360
Li19 0.7500 0.7500 0.1867
Li20 0.7500 0.7500 0.3167
Li21 0.7500 0.7500 0.6833
Li22 0.7500 0.7500 0.8133
Li23 0.9349 0.0651 0.4360
Li24 0.9349 0.4349 0.5640
Zn1 0.2500 0.7500 0.1911
Zn2 0.2500 0.7500 0.8089
Zn3 0.7500 0.2500 0.1911
Zn4 0.7500 0.2500 0.8089
Cu1 0.2500 0.7500 0.0000
Cu2 0.7500 0.2500 0.0000

The 10 most intense peaks (2θ = 10–90°), by intensity:
2θ (°)	d/Å	I/Imax
22.99	3.869	100
32.31	2.771	96
23.42	3.798	71
40.02	2.253	58
22.39	3.971	56
32.73	2.736	42
42.89	2.109	41
35.70	2.515	32
58.15	1.586	32
33.05	2.710	28



(2)
Si2I13: computed PXRD pattern (CuKα), based on a structure optimized by DFT (PBE).

Cell lengths 7.8097, 11.2119, 11.4158 Å; angles 89.59, 78.60, 83.84 degrees
Sites, in units of the cell vectors:
Si1 0.0320 0.2989 0.2442
Si2 0.9680 0.7011 0.7558
I1 0.1525 0.5164 0.6837
I2 0.1536 0.8704 0.7509
I3 0.1698 0.3191 0.0303
I4 0.2580 0.2476 0.3621
I5 0.3583 0.8502 0.4704
I6 0.4509 0.1541 0.7605
I7 0.5000 0.5000 0.0000
I8 0.5491 0.8459 0.2395
I9 0.6417 0.1498 0.5296
I10 0.7420 0.7524 0.6379
I11 0.8302 0.6809 0.9697
I12 0.8464 0.1296 0.2491
I13 0.8475 0.4836 0.3163

The 10 most intense peaks (2θ = 10–90°), by intensity:
2θ (°)	d/Å	I/Imax
15.59	5.683	100
23.14	3.843	88
11.29	7.840	83
25.53	3.489	56
26.12	3.412	49
25.31	3.519	49
23.92	3.720	46
28.66	3.115	45
40.67	2.219	44
26.78	3.329	42



(3)
Tb3Pu4S8: computed PXRD pattern (CuKα), based on a structure optimized by DFT (PBE).

Cell lengths 7.8769, 7.8769, 7.8622 Å; angles 119.93, 119.93, 89.95 degrees
Sites, in units of the cell vectors:
Tb1 0.0000 0.0000 0.0000
Tb2 0.0000 0.5000 0.0000
Tb3 0.5000 0.0000 0.0000
Pu1 0.0000 0.0000 0.5000
Pu2 0.0000 0.5000 0.5000
Pu3 0.5000 0.0000 0.5000
Pu4 0.5000 0.5000 0.0000
S1 0.2470 0.2470 0.4964
S2 0.2492 0.7508 0.0000
S3 0.2495 0.7505 0.5000
S4 0.2510 0.2510 0.0039
S5 0.7490 0.7490 0.9961
S6 0.7508 0.2492 0.0000
S7 0.7505 0.2495 0.5000
S8 0.7530 0.7530 0.5036

The 10 most intense peaks (2θ = 10–90°), by intensity:
2θ (°)	d/Å	I/Imax
32.13	2.786	100
27.73	3.217	88
46.11	1.969	61
54.69	1.678	30
76.48	1.246	22
13.78	6.427	21
54.54	1.682	15
26.52	3.361	14
57.18	1.611	13
85.51	1.136	13



(4)
TbPaCoCl: computed PXRD pattern (CuKα), based on a structure optimized by DFT (PBE).

Cell lengths 15.4294, 15.4294, 15.4294 Å; angles 14.41, 14.41, 14.41 degrees
Sites, in units of the cell vectors:
Tb1 0.0897 0.0897 0.0897
Tb2 0.9103 0.9103 0.9103
Pa1 0.3093 0.3093 0.3093
Pa2 0.6907 0.6907 0.6907
Co1 0.3830 0.3830 0.3830
Co2 0.6170 0.6170 0.6170
Cl1 0.2061 0.2061 0.2061
Cl2 0.7939 0.7939 0.7939

The 10 most intense peaks (2θ = 10–90°), by intensity:
2θ (°)	d/Å	I/Imax
33.12	2.705	100
28.35	3.148	79
37.02	2.429	64
46.95	1.935	61
30.91	2.893	40
43.07	2.100	23
60.06	1.540	22
53.53	1.712	21
47.35	1.920	20
58.65	1.574	19



(5)
TiNbO2F: computed PXRD pattern (CuKα), based on a structure optimized by DFT (PBE).

Cell lengths 4.0506, 4.0506, 4.1598 Å; angles 90.00, 90.00, 90.00 degrees
Sites, in units of the cell vectors:
Ti1 0.0000 0.0000 0.0000
Nb1 0.5000 0.5000 0.5000
O1 0.0000 0.5000 0.5000
O2 0.5000 0.0000 0.5000
F1 0.5000 0.5000 0.0000

The 10 most intense peaks (2θ = 10–90°), by intensity:
2θ (°)	d/Å	I/Imax
30.81	2.902	100
31.23	2.864	53
44.75	2.025	42
55.31	1.661	37
21.94	4.051	36
64.19	1.451	25
43.51	2.080	23
54.53	1.683	21
21.36	4.160	16
65.14	1.432	12



(6)
H4AuI3N: computed PXRD pattern (CuKα), based on a structure optimized by DFT (PBE).

Cell lengths 7.4165, 9.2702, 14.1848 Å; angles 89.26, 75.88, 79.04 degrees
Sites, in units of the cell vectors:
H1 0.0000 0.0000 0.0000
H2 0.0046 0.5107 0.5881
H3 0.1666 0.9052 0.9053
H4 0.2685 0.5278 0.1345
H5 0.3700 0.4246 0.0308
H6 0.4188 0.3660 0.1370
H7 0.4598 0.8525 0.4476
H8 0.4688 0.0138 0.3886
H9 0.5055 0.5109 0.0835
H10 0.5184 0.9935 0.4983
H11 0.6734 0.8990 0.4002
H12 0.7664 0.5318 0.6371
H13 0.8705 0.4205 0.5372
H14 0.9127 0.3712 0.6466
H15 0.9532 0.8560 0.9466
H16 0.9654 0.0166 0.8870
Au1 0.0046 0.1974 0.2592
Au2 0.4284 0.6846 0.7021
Au3 0.5004 0.1943 0.7569
Au4 0.9334 0.6832 0.1988
I1 0.0210 0.7581 0.3541
I2 0.2135 0.3625 0.8855
I3 0.2427 0.2717 0.3564
I4 0.2527 0.1194 0.6661
I5 0.2946 0.0480 0.1208
I6 0.3340 0.6193 0.5461
I7 0.5109 0.7602 0.8588
I8 0.7173 0.3614 0.3897
I9 0.7393 0.2732 0.8520
I10 0.7566 0.1245 0.1674
I11 0.7900 0.0380 0.6215
I12 0.8340 0.6199 0.0439
N1 0.0218 0.9445 0.9337
N2 0.3910 0.4577 0.0966
N3 0.5304 0.9397 0.4326
N4 0.8889 0.4588 0.6024

The 10 most intense peaks (2θ = 10–90°), by intensity:
2θ (°)	d/Å	I/Imax
23.07	3.856	100
15.46	5.732	68
22.78	3.903	62
12.61	7.019	54
31.86	2.809	48
19.52	4.548	47
27.04	3.298	41
12.88	6.874	40
15.89	5.579	39
43.47	2.082	25



Question: Number 5 is which compound?
Answer: TiNbO2F